(1)
NaTl2SeCl6: computed powder XRD pattern (Cu Kα X-rays), based on a cell relaxed with PBE.

Structure:
```
data_NaTl2SeCl6
_cell_length_a 13.2845
_cell_length_b 13.2845
_cell_length_c 13.2845
_cell_angle_alpha 32.53
_cell_angle_beta 32.53
_cell_angle_gamma 32.53
_space_group_name_H-M_alt 'P 1'
_space_group_IT_number 1
_space_group_name_Hall 'P 1'
loop_
_atom_site_label
_atom_site_type_symbol
_atom_site_fract_x
_atom_site_fract_y
_atom_site_fract_z
Na1 Na 0.0874 0.0874 0.0874
Na2 Na 0.9126 0.9126 0.9126
Tl1 Tl 0.2272 0.2272 0.2272
Tl2 Tl 0.3557 0.3557 0.3557
Tl3 Tl 0.6443 0.6443 0.6443
Tl4 Tl 0.7728 0.7728 0.7728
Se1 Se 0.0000 0.0000 0.0000
Se2 Se 0.5000 0.5000 0.5000
Cl1 Cl 0.1289 0.1289 0.6127
Cl2 Cl 0.1289 0.6127 0.1289
Cl3 Cl 0.2310 0.6904 0.6904
Cl4 Cl 0.3096 0.3096 0.7690
Cl5 Cl 0.3096 0.7690 0.3096
Cl6 Cl 0.3873 0.8711 0.8711
Cl7 Cl 0.6127 0.1289 0.1289
Cl8 Cl 0.6904 0.2310 0.6904
Cl9 Cl 0.6904 0.6904 0.2310
Cl10 Cl 0.7690 0.3096 0.3096
Cl11 Cl 0.8711 0.3873 0.8711
Cl12 Cl 0.8711 0.8711 0.3873
```

Peak list (10 most intense, 10° ≤ 2θ ≤ 90°, in order of falling intensity)
two_theta	I_rel
23.9	100
32.4	77
21.5	74
49.0	38
32.2	37
23.4	35
30.2	33
40.7	30
42.1	23
36.1	22

=====

(2)
NaSn2Cl5: computed powder XRD pattern (Cu Kα X-rays), based on a cell relaxed with PBE.

Structure:
```
data_NaSn2Cl5
_cell_length_a 8.7121
_cell_length_b 12.1353
_cell_length_c 8.7876
_cell_angle_alpha 90.00
_cell_angle_beta 90.00
_cell_angle_gamma 90.00
_space_group_name_H-M_alt 'P 1'
_space_group_IT_number 1
_space_group_name_Hall 'P 1'
loop_
_atom_site_label
_atom_site_type_symbol
_atom_site_fract_x
_atom_site_fract_y
_atom_site_fract_z
Na1 Na 0.0000 0.0000 0.2466
Na2 Na 0.0000 0.0000 0.7534
Na3 Na 0.5000 0.5000 0.2534
Na4 Na 0.5000 0.5000 0.7466
Sn1 Sn 0.0570 0.3329 0.5000
Sn2 Sn 0.0604 0.3272 0.0000
Sn3 Sn 0.4396 0.8272 0.5000
Sn4 Sn 0.4430 0.8329 0.0000
Sn5 Sn 0.5570 0.1671 0.0000
Sn6 Sn 0.5604 0.1728 0.5000
Sn7 Sn 0.9396 0.6728 0.0000
Sn8 Sn 0.9430 0.6671 0.5000
Cl1 Cl 0.0000 0.5000 0.2957
Cl2 Cl 0.0000 0.5000 0.7043
Cl3 Cl 0.1610 0.8963 0.0000
Cl4 Cl 0.1670 0.2049 0.2210
Cl5 Cl 0.1670 0.2049 0.7790
Cl6 Cl 0.1773 0.9285 0.5000
Cl7 Cl 0.3227 0.4285 0.0000
Cl8 Cl 0.3330 0.7049 0.2790
Cl9 Cl 0.3330 0.7049 0.7210
Cl10 Cl 0.3390 0.3963 0.5000
Cl11 Cl 0.5000 0.0000 0.2043
Cl12 Cl 0.5000 0.0000 0.7957
Cl13 Cl 0.6610 0.6037 0.5000
Cl14 Cl 0.6670 0.2951 0.2790
Cl15 Cl 0.6670 0.2951 0.7210
Cl16 Cl 0.6773 0.5715 0.0000
Cl17 Cl 0.8227 0.0715 0.5000
Cl18 Cl 0.8330 0.7951 0.2210
Cl19 Cl 0.8330 0.7951 0.7790
Cl20 Cl 0.8390 0.1037 0.0000
```

Peak list (10 most intense, 10° ≤ 2θ ≤ 90°, in order of falling intensity)
two_theta	I_rel
31.8	100
27.1	54
21.7	51
32.5	50
24.3	43
47.2	39
12.5	39
20.2	37
41.1	27
20.4	27

=====

(3)
Na3Sn2Cl7: computed powder XRD pattern (Cu Kα X-rays), based on a cell relaxed with PBE.

Structure:
```
data_Na3Sn2Cl7
_cell_length_a 12.9331
_cell_length_b 12.9331
_cell_length_c 7.6759
_cell_angle_alpha 90.00
_cell_angle_beta 90.00
_cell_angle_gamma 32.14
_space_group_name_H-M_alt 'P 1'
_space_group_IT_number 1
_space_group_name_Hall 'P 1'
loop_
_atom_site_label
_atom_site_type_symbol
_atom_site_fract_x
_atom_site_fract_y
_atom_site_fract_z
Na1 Na 0.0629 0.5441 0.5858
Na2 Na 0.2285 0.7715 0.5000
Na3 Na 0.4559 0.9371 0.5858
Na4 Na 0.5441 0.0629 0.0858
Na5 Na 0.7715 0.2285 0.0000
Na6 Na 0.9371 0.4559 0.0858
Sn1 Sn 0.1369 0.6476 0.0083
Sn2 Sn 0.3524 0.8631 0.0083
Sn3 Sn 0.6476 0.1369 0.5083
Sn4 Sn 0.8631 0.3524 0.5083
Cl1 Cl 0.0839 0.2235 0.7834
Cl2 Cl 0.1089 0.8911 0.1660
Cl3 Cl 0.1755 0.4116 0.9425
Cl4 Cl 0.2235 0.0839 0.2834
Cl5 Cl 0.3270 0.5013 0.6485
Cl6 Cl 0.4116 0.1755 0.4425
Cl7 Cl 0.4987 0.6730 0.6485
Cl8 Cl 0.5013 0.3270 0.1485
Cl9 Cl 0.5884 0.8245 0.9425
Cl10 Cl 0.6730 0.4987 0.1485
Cl11 Cl 0.7765 0.9161 0.7834
Cl12 Cl 0.8245 0.5884 0.4425
Cl13 Cl 0.8911 0.1089 0.6660
Cl14 Cl 0.9161 0.7765 0.2834
```

Peak list (10 most intense, 10° ≤ 2θ ≤ 90°, in order of falling intensity)
two_theta	I_rel
17.3	100
24.7	95
14.3	76
43.7	72
34.3	49
41.7	46
36.8	43
20.1	41
37.3	38
23.2	36

=====

(4)
Na3SnCl6: computed powder XRD pattern (Cu Kα X-rays), based on a cell relaxed with PBE.

Structure:
```
data_Na3SnCl6
_cell_length_a 7.4975
_cell_length_b 7.4975
_cell_length_c 7.4975
_cell_angle_alpha 56.01
_cell_angle_beta 56.01
_cell_angle_gamma 56.01
_space_group_name_H-M_alt 'P 1'
_space_group_IT_number 1
_space_group_name_Hall 'P 1'
loop_
_atom_site_label
_atom_site_type_symbol
_atom_site_fract_x
_atom_site_fract_y
_atom_site_fract_z
Na1 Na 0.0000 0.0000 0.0000
Na2 Na 0.2012 0.2012 0.2012
Na3 Na 0.7090 0.7090 0.7090
Sn1 Sn 0.5103 0.5103 0.5103
Cl1 Cl 0.1340 0.4013 0.7734
Cl2 Cl 0.3029 0.8907 0.6029
Cl3 Cl 0.4013 0.7734 0.1340
Cl4 Cl 0.6029 0.3029 0.8907
Cl5 Cl 0.7734 0.1340 0.4013
Cl6 Cl 0.8907 0.6029 0.3029
```

Peak list (10 most intense, 10° ≤ 2θ ≤ 90°, in order of falling intensity)
two_theta	I_rel
29.1	100
38.3	83
17.3	78
15.3	64
44.6	50
23.8	37
50.6	33
35.0	32
43.7	25
14.1	25

=====

(5)
Na2SnCl4: computed powder XRD pattern (Cu Kα X-rays), based on a cell relaxed with PBE.

Structure:
```
data_Na2SnCl4
_cell_length_a 7.6216
_cell_length_b 7.6216
_cell_length_c 7.0938
_cell_angle_alpha 114.35
_cell_angle_beta 114.35
_cell_angle_gamma 32.05
_space_group_name_H-M_alt 'P 1'
_space_group_IT_number 1
_space_group_name_Hall 'P 1'
loop_
_atom_site_label
_atom_site_type_symbol
_atom_site_fract_x
_atom_site_fract_y
_atom_site_fract_z
Na1 Na 0.2127 0.2127 0.1902
Na2 Na 0.7873 0.7873 0.8098
Sn1 Sn 0.5000 0.5000 0.5000
Cl1 Cl 0.1368 0.1368 0.4922
Cl2 Cl 0.3743 0.3743 0.0696
Cl3 Cl 0.6257 0.6257 0.9304
Cl4 Cl 0.8632 0.8632 0.5078
```

Peak list (10 most intense, 10° ≤ 2θ ≤ 90°, in order of falling intensity)
two_theta	I_rel
14.5	100
28.5	98
13.8	74
36.2	62
29.3	57
44.0	57
22.2	54
27.8	51
37.4	46
38.3	42

=====

(6)
NaSn2Cl6: computed powder XRD pattern (Cu Kα X-rays), based on a cell relaxed with PBE.

Structure:
```
data_NaSn2Cl6
_cell_length_a 6.5556
_cell_length_b 6.5556
_cell_length_c 12.5031
_cell_angle_alpha 90.00
_cell_angle_beta 90.00
_cell_angle_gamma 90.00
_space_group_name_H-M_alt 'P 1'
_space_group_IT_number 1
_space_group_name_Hall 'P 1'
loop_
_atom_site_label
_atom_site_type_symbol
_atom_site_fract_x
_atom_site_fract_y
_atom_site_fract_z
Na1 Na 0.0000 0.0000 0.0000
Na2 Na 0.5000 0.5000 0.5000
Sn1 Sn 0.0000 0.0000 0.3321
Sn2 Sn 0.0000 0.0000 0.6679
Sn3 Sn 0.5000 0.5000 0.1679
Sn4 Sn 0.5000 0.5000 0.8321
Cl1 Cl 0.1917 0.1917 0.5000
Cl2 Cl 0.2053 0.2053 0.1748
Cl3 Cl 0.2053 0.2053 0.8252
Cl4 Cl 0.2947 0.7053 0.3252
Cl5 Cl 0.2947 0.7053 0.6748
Cl6 Cl 0.3083 0.6917 0.0000
Cl7 Cl 0.6917 0.3083 0.0000
Cl8 Cl 0.7053 0.2947 0.3252
Cl9 Cl 0.7053 0.2947 0.6748
Cl10 Cl 0.7947 0.7947 0.1748
Cl11 Cl 0.7947 0.7947 0.8252
Cl12 Cl 0.8083 0.8083 0.5000
```

Peak list (10 most intense, 10° ≤ 2θ ≤ 90°, in order of falling intensity)
two_theta	I_rel
19.1	100
37.5	90
25.3	48
46.9	43
15.3	42
28.8	35
38.9	33
47.8	24
59.7	18
82.6	17

=====

(7)
Na3Sn2Cl8: computed powder XRD pattern (Cu Kα X-rays), based on a cell relaxed with PBE.

Structure:
```
data_Na3Sn2Cl8
_cell_length_a 8.2131
_cell_length_b 8.2131
_cell_length_c 6.7225
_cell_angle_alpha 106.71
_cell_angle_beta 106.71
_cell_angle_gamma 59.26
_space_group_name_H-M_alt 'P 1'
_space_group_IT_number 1
_space_group_name_Hall 'P 1'
loop_
_atom_site_label
_atom_site_type_symbol
_atom_site_fract_x
_atom_site_fract_y
_atom_site_fract_z
Na1 Na 0.0000 0.0000 0.0000
Na2 Na 0.2589 0.7411 0.5000
Na3 Na 0.7411 0.2589 0.5000
Sn1 Sn 0.2635 0.2635 0.8286
Sn2 Sn 0.7365 0.7365 0.1714
Cl1 Cl 0.1055 0.6384 0.0816
Cl2 Cl 0.1229 0.1229 0.4477
Cl3 Cl 0.3616 0.8945 0.9184
Cl4 Cl 0.3893 0.3893 0.6222
Cl5 Cl 0.6107 0.6107 0.3778
Cl6 Cl 0.6384 0.1055 0.0816
Cl7 Cl 0.8771 0.8771 0.5523
Cl8 Cl 0.8945 0.3616 0.9184
```

Peak list (10 most intense, 10° ≤ 2θ ≤ 90°, in order of falling intensity)
two_theta	I_rel
17.2	100
20.5	91
40.8	85
46.3	66
22.9	64
33.9	54
25.6	49
13.1	44
33.0	33
35.0	33

=====

(8)
Na2Tl3SnCl6: computed powder XRD pattern (Cu Kα X-rays), based on a cell relaxed with PBE.

Structure:
```
data_Na2Tl3SnCl6
_cell_length_a 7.0208
_cell_length_b 7.0208
_cell_length_c 8.4928
_cell_angle_alpha 98.03
_cell_angle_beta 98.03
_cell_angle_gamma 120.14
_space_group_name_H-M_alt 'P 1'
_space_group_IT_number 1
_space_group_name_Hall 'P 1'
loop_
_atom_site_label
_atom_site_type_symbol
_atom_site_fract_x
_atom_site_fract_y
_atom_site_fract_z
Na1 Na 0.1669 0.8331 0.0000
Na2 Na 0.8331 0.1669 0.0000
Tl1 Tl 0.0000 0.0000 0.5000
Tl2 Tl 0.3346 0.6654 0.5000
Tl3 Tl 0.6654 0.3346 0.5000
Sn1 Sn 0.5000 0.5000 0.0000
Cl1 Cl 0.0973 0.4328 0.7999
Cl2 Cl 0.2310 0.2310 0.1977
Cl3 Cl 0.4328 0.0973 0.7999
Cl4 Cl 0.5672 0.9027 0.2001
Cl5 Cl 0.7690 0.7690 0.8023
Cl6 Cl 0.9027 0.5672 0.2001
```

Peak list (10 most intense, 10° ≤ 2θ ≤ 90°, in order of falling intensity)
two_theta	I_rel
29.4	100
10.9	41
44.7	32
25.7	30
26.4	29
39.0	27
21.8	25
31.3	18
39.2	14
26.5	14

=====

(9)
NaSr2Cl5: computed powder XRD pattern (Cu Kα X-rays), based on a cell relaxed with PBE.

Structure:
```
data_NaSr2Cl5
_cell_length_a 10.5052
_cell_length_b 4.6585
_cell_length_c 20.4162
_cell_angle_alpha 90.00
_cell_angle_beta 90.00
_cell_angle_gamma 90.00
_space_group_name_H-M_alt 'P 1'
_space_group_IT_number 1
_space_group_name_Hall 'P 1'
loop_
_atom_site_label
_atom_site_type_symbol
_atom_site_fract_x
_atom_site_fract_y
_atom_site_fract_z
Na1 Na 0.0826 0.2500 0.0678
Na2 Na 0.4174 0.7500 0.5678
Na3 Na 0.5826 0.2500 0.4322
Na4 Na 0.9174 0.7500 0.9322
Sr1 Sr 0.1405 0.2500 0.4313
Sr2 Sr 0.1795 0.2500 0.7471
Sr3 Sr 0.3205 0.7500 0.2471
Sr4 Sr 0.3595 0.7500 0.9313
Sr5 Sr 0.6405 0.2500 0.0687
Sr6 Sr 0.6795 0.2500 0.7529
Sr7 Sr 0.8205 0.7500 0.2529
Sr8 Sr 0.8595 0.7500 0.5687
Cl1 Cl 0.0751 0.7500 0.3275
Cl2 Cl 0.1188 0.7500 0.5144
Cl3 Cl 0.1324 0.7500 0.8361
Cl4 Cl 0.1329 0.7500 0.0106
Cl5 Cl 0.2306 0.2500 0.1788
Cl6 Cl 0.2694 0.7500 0.6788
Cl7 Cl 0.3671 0.2500 0.5106
Cl8 Cl 0.3676 0.2500 0.3361
Cl9 Cl 0.3812 0.2500 0.0144
Cl10 Cl 0.4249 0.2500 0.8275
Cl11 Cl 0.5751 0.7500 0.1725
Cl12 Cl 0.6188 0.7500 0.9856
Cl13 Cl 0.6324 0.7500 0.6639
Cl14 Cl 0.6329 0.7500 0.4894
Cl15 Cl 0.7306 0.2500 0.3212
Cl16 Cl 0.7694 0.7500 0.8212
Cl17 Cl 0.8671 0.2500 0.9894
Cl18 Cl 0.8676 0.2500 0.1639
Cl19 Cl 0.8812 0.2500 0.4856
Cl20 Cl 0.9249 0.2500 0.6725
```

Peak list (10 most intense, 10° ≤ 2θ ≤ 90°, in order of falling intensity)
two_theta	I_rel
36.9	100
23.1	86
21.4	81
38.7	40
27.3	35
36.6	29
17.4	24
33.8	20
44.6	20
40.3	19

=====

(10)
Na2SrCl4: computed powder XRD pattern (Cu Kα X-rays), based on a cell relaxed with PBE.

Structure:
```
data_Na2SrCl4
_cell_length_a 6.9606
_cell_length_b 6.9606
_cell_length_c 13.4974
_cell_angle_alpha 90.00
_cell_angle_beta 90.00
_cell_angle_gamma 146.26
_space_group_name_H-M_alt 'P 1'
_space_group_IT_number 1
_space_group_name_Hall 'P 1'
loop_
_atom_site_label
_atom_site_type_symbol
_atom_site_fract_x
_atom_site_fract_y
_atom_site_fract_z
Na1 Na 0.1270 0.8730 0.5634
Na2 Na 0.1270 0.8730 0.9366
Na3 Na 0.8730 0.1270 0.0634
Na4 Na 0.8730 0.1270 0.4366
Sr1 Sr 0.3812 0.6188 0.7500
Sr2 Sr 0.6188 0.3812 0.2500
Cl1 Cl 0.0373 0.9627 0.7500
Cl2 Cl 0.2216 0.7784 0.1213
Cl3 Cl 0.2216 0.7784 0.3787
Cl4 Cl 0.5000 0.5000 0.0000
Cl5 Cl 0.5000 0.5000 0.5000
Cl6 Cl 0.7784 0.2216 0.6213
Cl7 Cl 0.7784 0.2216 0.8787
Cl8 Cl 0.9627 0.0373 0.2500
```

Peak list (10 most intense, 10° ≤ 2θ ≤ 90°, in order of falling intensity)
two_theta	I_rel
30.6	100
32.8	79
14.8	63
29.7	51
23.9	48
40.8	41
42.8	37
30.5	37
45.6	36
44.9	29

=====

(11)
Na2TaCl6: computed powder XRD pattern (Cu Kα X-rays), based on a cell relaxed with PBE.

Structure:
```
data_Na2TaCl6
_cell_length_a 6.3632
_cell_length_b 6.3632
_cell_length_c 12.1346
_cell_angle_alpha 90.00
_cell_angle_beta 90.00
_cell_angle_gamma 90.00
_space_group_name_H-M_alt 'P 1'
_space_group_IT_number 1
_space_group_name_Hall 'P 1'
loop_
_atom_site_label
_atom_site_type_symbol
_atom_site_fract_x
_atom_site_fract_y
_atom_site_fract_z
Na1 Na 0.0000 0.0000 0.1691
Na2 Na 0.0000 0.0000 0.8309
Na3 Na 0.5000 0.5000 0.3309
Na4 Na 0.5000 0.5000 0.6691
Ta1 Ta 0.0000 0.0000 0.5000
Ta2 Ta 0.5000 0.5000 0.0000
Cl1 Cl 0.1874 0.1874 0.3548
Cl2 Cl 0.1874 0.1874 0.6452
Cl3 Cl 0.2326 0.2326 0.0000
Cl4 Cl 0.2674 0.7326 0.5000
Cl5 Cl 0.3126 0.6874 0.1452
Cl6 Cl 0.3126 0.6874 0.8548
Cl7 Cl 0.6874 0.3126 0.1452
Cl8 Cl 0.6874 0.3126 0.8548
Cl9 Cl 0.7326 0.2674 0.5000
Cl10 Cl 0.7674 0.7674 0.0000
Cl11 Cl 0.8126 0.8126 0.3548
Cl12 Cl 0.8126 0.8126 0.6452
```

Peak list (10 most intense, 10° ≤ 2θ ≤ 90°, in order of falling intensity)
two_theta	I_rel
15.7	100
19.7	57
38.7	48
14.6	32
26.1	26
29.7	24
24.6	23
48.5	22
32.3	20
40.1	19